(1)
Starting from a PBE-relaxed structure, the X-ray powder pattern of Nd3SmTm3S8 was computed for Cu Kα.

Principal peaks in the range 5° ≤ 2θ ≤ 70°, in order of rising 2θ:
d 3.265, I = 18; d 3.216, I = 52; d 2.796, I = 100; d 1.988, I = 36; d 1.966, I = 35; d 1.608, I = 18

Atomic structure:
```
Nd3SmTm3S8
1.0
3.9313 2.2697 6.5309
-3.9313 2.2697 6.5309
0.0000 -4.5394 6.5309
Nd Sm Tm S
3 1 3 8
Cartesian
-1.9656 -1.1349 6.5309
-1.9656 1.1349 13.0618
0.0000 2.2697 6.5309
0.0000 0.0000 9.7963
-3.9312 0.0000 9.7963
-1.9656 1.1349 3.2654
1.9656 1.1349 3.2654
-2.0409 -1.1783 11.3552
0.0000 0.0000 4.7666
0.0000 -2.3567 8.2375
-2.0409 1.1783 8.2375
2.0409 -1.1783 11.3552
0.0000 2.3567 11.3552
0.0000 0.0000 14.8261
2.0409 1.1783 8.2375
```

(2)
Starting from a PBE-relaxed structure, the X-ray powder pattern of PmGe2RuRh was computed for Cu Kα.

Principal peaks in the range 5° ≤ 2θ ≤ 70°, in order of rising 2θ:
d 2.655, I = 59; d 2.584, I = 100; d 2.117, I = 58; d 1.655, I = 28; d 1.497, I = 19; d 1.481, I = 20

Atomic structure:
```
PmGe2RuRh
1.0
4.2345 0.0000 0.0000
0.0000 4.2345 0.0000
0.0000 0.0000 10.2248
Pm Ge Ru Rh
2 4 2 2
Cartesian
0.0000 0.0000 0.0000
2.1172 2.1172 5.1124
0.0000 0.0000 3.8061
0.0000 0.0000 6.4187
2.1172 2.1172 1.3063
2.1172 2.1172 8.9185
0.0000 2.1172 2.5562
2.1172 0.0000 7.6686
0.0000 2.1172 7.6686
2.1172 0.0000 2.5562
```

(3)
Starting from a PBE-relaxed structure, the X-ray powder pattern of Ba2PmBiO6 was computed for Cu Kα.

Principal peaks in the range 5° ≤ 2θ ≤ 70°, in order of rising 2θ:
d 3.121, I = 100; d 3.109, I = 100; d 2.205, I = 36; d 1.798, I = 43; d 1.794, I = 22; d 1.392, I = 18

Atomic structure:
```
Ba2PmBiO6
1.0
6.2500 0.0000 0.0000
0.0000 6.2249 0.0000
-6.2013 0.0000 8.7889
Ba Pm Bi O
4 2 2 12
Cartesian
-0.0268 0.0904 2.1874
-3.1274 3.0220 6.5819
3.1761 3.2029 2.2070
0.0755 6.1345 6.6014
3.1250 0.0000 0.0000
0.0244 3.1124 4.3944
-3.1006 0.0000 4.3944
0.0000 3.1124 0.0000
-4.8183 1.4991 8.4659
-1.7177 1.6133 4.0715
-4.6013 4.5090 8.4705
-1.5007 4.8283 4.0761
-2.6690 0.0583 6.5003
0.4316 3.0541 2.1059
-0.3829 3.1707 6.6830
2.7178 6.1666 2.2886
1.5494 1.3965 4.7128
4.6500 1.7159 0.3184
1.7664 4.6115 4.7174
4.8670 4.7258 0.3230
```

(4)
Starting from a PBE-relaxed structure, the X-ray powder pattern of PrNdPt6 was computed for Cu Kα.

Principal peaks in the range 5° ≤ 2θ ≤ 70°, in order of rising 2θ:
d 2.705, I = 26; d 2.420, I = 100; d 2.209, I = 59; d 1.501, I = 23; d 1.446, I = 31; d 1.353, I = 14

Atomic structure:
```
PrNdPt6
1.0
5.4104 0.0000 0.0000
0.0000 5.4104 0.0000
0.0000 0.0000 5.4104
Pr Nd Pt
1 1 6
Cartesian
0.0000 0.0000 0.0000
2.7052 2.7052 2.7052
0.0000 1.3552 2.7052
0.0000 4.0552 2.7052
1.3552 2.7052 0.0000
2.7052 0.0000 1.3552
2.7052 0.0000 4.0552
4.0552 2.7052 0.0000
```